MgI2O6: computed X-ray powder pattern (Cu Kα, 1.54184 Å), based on a GGA-PBE-relaxed structure.
No peak broadening, texture or thermal motion is included.

Principal peaks in the range 2θ = 10–80°, low angle first:
- d 4.110, 2θ 21.62, rel. 100
- d 3.995, 2θ 22.25, rel. 64
- d 3.748, 2θ 23.74, rel. 72
- d 3.238, 2θ 27.55, rel. 36
- d 3.155, 2θ 28.28, rel. 55
- d 3.098, 2θ 28.82, rel. 70

Crystal structure
```
MgI2O6
1.0
6.6955 0.0000 0.0000
0.0000 10.8324 0.0000
-3.8640 0.0000 7.9889
Mg I O
4 8 24
Cartesian
-0.8551 0.9579 3.1990 Mg
-2.7870 4.4583 7.1934 Mg
5.6186 6.3740 0.7954 Mg
3.6866 9.8745 4.7899 Mg
-2.2360 0.9181 7.8512 I
-0.3040 4.4981 3.8568 I
2.1226 7.6078 0.7010 I
0.1907 8.6408 4.6955 I
2.6409 2.1916 3.2934 I
0.7089 3.2246 7.2878 I
3.1355 6.3343 4.1321 I
5.0675 9.9143 0.1377 I
-1.1234 5.7302 2.7423 O
-3.0553 10.5184 6.7367 O
-3.1565 2.4282 7.3456 O
-1.2245 2.9880 3.3511 O
0.9643 6.1875 0.3029 O
-0.9676 10.0610 4.2973 O
1.1480 1.1856 3.0975 O
-0.7840 4.2306 7.0920 O
-0.6804 1.1454 6.8997 O
1.2516 4.2708 2.9053 O
1.7039 7.7866 2.4665 O
-0.2281 8.4619 6.4609 O
3.0596 2.3704 1.5280 O
1.1276 3.0457 5.5224 O
1.5799 6.5616 5.0836 O
3.5119 9.6870 1.0891 O
3.6155 6.6018 0.8969 O
1.6835 9.6467 4.8914 O
3.7992 0.7714 3.6916 O
1.8672 4.6448 7.6860 O
4.0560 7.8444 4.6377 O
5.9880 8.4042 0.6433 O
5.8868 0.3140 1.2522 O
3.9549 5.1022 5.2466 O
```

---

Pa2AgS5: computed X-ray powder pattern (Cu Kα, 1.54184 Å), based on a GGA-PBE-relaxed structure.
No peak broadening, texture or thermal motion is included.

Principal peaks in the range 2θ = 10–80°, low angle first:
- d 6.723, 2θ 13.17, rel. 56
- d 4.665, 2θ 19.03, rel. 100
- d 4.490, 2θ 19.77, rel. 93
- d 3.457, 2θ 25.77, rel. 60
- d 3.201, 2θ 27.87, rel. 53
- d 2.334, 2θ 38.57, rel. 63

Crystal structure
```
Pa2AgS5
1.0
5.3452 -5.1410 0.0000
5.3452 5.1410 0.0000
-4.8532 0.0000 8.7271
Pa Ag S
4 2 10
Cartesian
0.0000 0.0000 0.0000 Pa
-2.4266 0.0000 4.3635 Pa
2.6726 2.5705 0.0000 Pa
0.2460 -2.5705 4.3635 Pa
1.7054 0.9801 6.5453 Ag
4.1319 -0.9801 2.1818 Ag
4.1319 3.6975 2.1818 S
0.2292 2.7380 7.7091 S
0.1676 0.0286 4.8733 S
2.5942 -0.0286 0.5098 S
3.1816 2.7380 5.3815 S
2.6558 -2.7380 3.3455 S
3.2431 0.0286 8.2173 S
5.6697 -0.0286 3.8537 S
5.6081 -2.7380 1.0180 S
1.7054 -3.6975 6.5453 S
```

---

NdDy5Y12: computed X-ray powder pattern (Cu Kα, 1.54184 Å), based on a GGA-PBE-relaxed structure.
No peak broadening, texture or thermal motion is included.

Principal peaks in the range 2θ = 10–80°, low angle first:
- d 7.566, 2θ 11.70, rel. 9
- d 2.914, 2θ 30.68, rel. 100
- d 2.524, 2θ 35.57, rel. 50
- d 1.785, 2θ 51.19, rel. 35
- d 1.522, 2θ 60.87, rel. 41
- d 1.457, 2θ 63.89, rel. 12

Crystal structure
```
NdDy5Y12
1.0
7.5659 -7.5788 0.0000
7.5659 7.5788 0.0000
0.0000 0.0000 5.0460
Nd Dy Y
1 5 12
Cartesian
0.0000 0.0000 0.0000 Nd
7.5659 5.0355 2.5230 Dy
7.5659 2.5234 0.0000 Dy
7.5659 0.0000 2.5230 Dy
7.5659 -2.5234 0.0000 Dy
7.5659 -5.0355 2.5230 Dy
5.0475 5.0420 0.0000 Y
2.5262 0.0000 2.5230 Y
5.0618 2.5209 2.5230 Y
5.0609 0.0000 0.0000 Y
10.0843 5.0420 0.0000 Y
10.0701 2.5209 2.5230 Y
5.0618 -2.5209 2.5230 Y
5.0475 -5.0420 0.0000 Y
10.0710 0.0000 0.0000 Y
10.0701 -2.5209 2.5230 Y
12.6057 0.0000 2.5230 Y
10.0843 -5.0420 0.0000 Y
```